Computed powder X-ray diffraction pattern of RbCu2Hg2 for copper Kα, from DFT lattice parameters and positions (GGA-PBE).
Lines closer than 0.1° are merged.

Largest 10 diffraction maxima, by angle, 2θ from 15° to 90°:
hkl  2θ/deg  I (rel.)
1 0 1  19.98  308
1 1 0  25.85  418
1 0 3  30.82  1000
2 0 0  36.88  546
1 1 4  42.46  306
2 1 3  48.81  525
2 2 0  53.15  190
1 1 6  57.66  190
3 0 3  62.71  140
3 2 3  75.03  150

Cell and atoms:
Cell: 4.874 4.874 10.828 Å, 90.00 90.00 90.00°
Space group I4/mmm (No. 139)
Unique sites:
Rb (0.000, 0.000, 0.000)
Cu (0.000, 0.500, 0.250)
Hg (0.000, 0.000, 0.355)